No. 1
HgC: computed powder XRD pattern (Cu Kα X-rays), based on the GGA-PBE geometry in Alexandria.
No peak broadening, texture or thermal motion is included.

Crystal structure
```
8
Lattice="6.174 0.000 0.000 0.000 10.718 0.000 0.000 0.000 2.649" Properties=species:S:1:pos:R:3 pbc="T T T"
Hg 0.000 1.785 0.662
Hg 0.000 8.933 1.987
Hg 3.087 3.574 1.987
Hg 3.087 7.144 0.662
C 0.000 5.359 0.662
C 0.000 5.359 1.987
C 3.087 10.718 0.662
C 3.087 0.000 1.987
```

The 6 most intense peaks (10 to 90 degrees two-theta), by intensity:
2θ (°), d_spacing, I/Imax
28.89, 3.091, 100.0
37.89, 2.374, 66.3
16.56, 5.353, 61.2
57.30, 1.608, 40.6
48.34, 1.883, 33.5
51.20, 1.784, 20.5


No. 2
Hg3C2: computed powder XRD pattern (Cu Kα X-rays), based on the GGA-PBE geometry in Alexandria.
No peak broadening, texture or thermal motion is included.

Crystal structure
```
10
Lattice="-3.632 3.632 4.184 3.632 -3.632 4.184 3.632 3.632 -4.184" Properties=species:S:1:pos:R:3 pbc="T T T"
Hg 0.000 0.000 0.000
Hg 1.816 1.816 -2.092
Hg 1.816 -1.816 2.092
Hg 3.632 1.816 1.046
Hg 0.000 3.632 0.000
Hg 0.000 1.816 3.138
C 3.632 1.816 -1.059
C 0.000 1.816 1.033
C 3.632 1.816 3.151
C 0.000 1.816 5.243
```

The 6 most intense peaks (10 to 90 degrees two-theta), by intensity:
2θ (°), d_spacing, I/Imax
29.50, 3.028, 100.0
32.65, 2.743, 53.0
34.44, 2.604, 33.7
56.75, 1.622, 30.1
46.36, 1.959, 29.7
50.26, 1.815, 24.0


No. 3
Hg4C: computed powder XRD pattern (Cu Kα X-rays), based on the GGA-PBE geometry in Alexandria.
No peak broadening, texture or thermal motion is included.

Crystal structure
```
5
Lattice="4.854 0.000 0.000 0.000 4.854 0.000 0.000 0.000 4.854" Properties=species:S:1:pos:R:3 pbc="T T T"
Hg 0.000 0.000 0.000
Hg 0.000 2.427 2.427
Hg 2.427 0.000 2.427
Hg 2.427 2.427 0.000
C 2.427 2.427 2.427
```

The 6 most intense peaks (10 to 90 degrees two-theta), by intensity:
2θ (°), d_spacing, I/Imax
31.94, 2.802, 100.0
37.04, 2.427, 53.6
63.58, 1.463, 43.4
53.39, 1.716, 37.9
87.63, 1.114, 19.3
66.76, 1.401, 13.0


No. 4
HgC: computed powder XRD pattern (Cu Kα X-rays), based on the GGA-PBE geometry in Alexandria.
No peak broadening, texture or thermal motion is included.

Crystal structure
```
8
Lattice="2.637 0.000 0.000 0.000 6.804 0.000 0.000 0.000 10.069" Properties=species:S:1:pos:R:3 pbc="T T T"
Hg 0.000 1.701 1.702
Hg 0.000 5.103 8.367
Hg 1.318 1.701 8.367
Hg 1.318 5.103 1.702
C 0.000 1.701 5.030
C 0.000 5.103 5.039
C 1.318 1.701 5.039
C 1.318 5.103 5.030
```

The 6 most intense peaks (10 to 90 degrees two-theta), by intensity:
2θ (°), d_spacing, I/Imax
37.65, 2.389, 100.0
26.19, 3.402, 54.1
26.56, 3.356, 52.2
40.84, 2.209, 44.1
17.62, 5.035, 25.4
51.99, 1.759, 24.5


Please write out number 4 again, unchanged.
HgC: computed powder XRD pattern (Cu Kα X-rays), based on the GGA-PBE geometry in Alexandria.
No peak broadening, texture or thermal motion is included.

Crystal structure
```
8
Lattice="2.637 0.000 0.000 0.000 6.804 0.000 0.000 0.000 10.069" Properties=species:S:1:pos:R:3 pbc="T T T"
Hg 0.000 1.701 1.702
Hg 0.000 5.103 8.367
Hg 1.318 1.701 8.367
Hg 1.318 5.103 1.702
C 0.000 1.701 5.030
C 0.000 5.103 5.039
C 1.318 1.701 5.039
C 1.318 5.103 5.030
```

The 6 most intense peaks (10 to 90 degrees two-theta), by intensity:
2θ (°), d_spacing, I/Imax
37.65, 2.389, 100.0
26.19, 3.402, 54.1
26.56, 3.356, 52.2
40.84, 2.209, 44.1
17.62, 5.035, 25.4
51.99, 1.759, 24.5